This entry pairs a crystal structure of PuAlPd6 with its simulated powder X-ray diffraction pattern. Radiation: Cu Kα (λ = 1.5418 Å). Structure: the PBE geometry in Alexandria.
Kinematic intensities with the Lorentz-polarization factor, no thermal factor.

Principal peaks in the range 15° ≤ 2θ ≤ 90°, low angle first:
h k l  two_theta  d (Å)  Rel. int.
1 0 1  24.6  3.616  17
1 1 1  33.2  2.701  12
1 1 2  38.7  2.327  100
2 0 0  44.6  2.031  34
0 0 4  45.7  1.987  15
2 2 0  64.9  1.436  11
2 0 4  65.8  1.420  20
3 1 2  78.2  1.222  25
1 1 6  79.7  1.203  10
2 2 4  83.0  1.164  10

Crystal structure
Cell lengths 4.0613, 4.0613, 7.9465 Å; angles 90.00, 90.00, 90.00 degrees
Space group P4/mmm (No. 123)
Unique sites:
Pu 0.0000 0.0000 0.0000 [1 per cell]
Al 0.0000 0.0000 0.5000 [1 per cell]
Pd 0.0000 0.5000 0.2661 [4 per cell]
Pd 0.5000 0.5000 0.0000 [1 per cell]
Pd 0.5000 0.5000 0.5000 [1 per cell]

This entry pairs a crystal structure of Pu3Al2Pd4 with its simulated powder X-ray diffraction pattern. Radiation: Cu Kα (λ = 1.5418 Å). Structure: the PBE geometry in Alexandria.
Kinematic intensities with the Lorentz-polarization factor, no thermal factor.

Principal peaks in the range 15° ≤ 2θ ≤ 90°, low angle first:
h k l  two_theta  d (Å)  Rel. int.
1 0 1  24.8  3.593  68
1 0 3  35.1  2.559  100
1 1 0  40.8  2.213  79
0 1 4  42.2  2.140  38
0 2 3  54.8  1.674  28
2 0 4  60.2  1.538  14
2 1 3  70.5  1.335  27
3 0 0  74.2  1.278  14
1 2 4  75.2  1.263  14
1 1 7  77.9  1.226  15

Crystal structure
Cell lengths 4.4262, 4.4262, 10.3142 Å; angles 90.00, 90.00, 120.00 degrees
Space group P-3m1 (No. 164)
Unique sites:
Pu 0.0000 0.0000 0.0000 [1 per cell]
Pu 0.3333 0.6667 0.5589 [2 per cell]
Al 0.3333 0.6667 0.2298 [2 per cell]
Pd 0.0000 0.0000 0.3021 [2 per cell]
Pd 0.3333 0.6667 0.8414 [2 per cell]

This entry pairs a crystal structure of ScAlPdRu with its simulated powder X-ray diffraction pattern. Radiation: Cu Kα (λ = 1.5418 Å). Structure: the PBE geometry in Alexandria.
Kinematic intensities with the Lorentz-polarization factor, no thermal factor.

Principal peaks in the range 15° ≤ 2θ ≤ 90°, low angle first:
h k l  two_theta  d (Å)  Rel. int.
1 0 0  27.4  3.251  17
0 1 1  29.0  3.082  30
1 1 1  40.3  2.236  100
0 0 2  41.1  2.195  24
0 2 0  41.8  2.163  23
2 0 0  56.6  1.625  9
0 2 2  60.0  1.541  15
1 1 3  74.4  1.275  15
1 3 1  75.3  1.263  15
2 2 2  87.2  1.118  10

Crystal structure
Cell lengths 3.2508, 4.3263, 4.3908 Å; angles 90.00, 90.00, 90.00 degrees
Space group Pmmm (No. 47)
Unique sites:
Sc 0.0000 0.0000 0.0000 [1 per cell]
Al 0.0000 0.5000 0.5000 [1 per cell]
Pd 0.5000 0.0000 0.5000 [1 per cell]
Ru 0.5000 0.5000 0.0000 [1 per cell]

This entry pairs a crystal structure of AlSb2Pd6 with its simulated powder X-ray diffraction pattern. Radiation: Cu Kα (λ = 1.5418 Å). Structure: the PBE geometry in Alexandria.
Kinematic intensities with the Lorentz-polarization factor, no thermal factor.

Principal peaks in the range 15° ≤ 2θ ≤ 90°, low angle first:
h k l  two_theta  d (Å)  Rel. int.
1 1 1  36.3  2.474  100
2 1 0  38.6  2.333  38
2 0 1  39.2  2.297  37
3 0 0  44.0  2.058  44
2 1 1  47.1  1.930  20
0 0 2  53.3  1.719  15
2 1 2  67.7  1.384  14
3 0 2  71.5  1.319  20
3 2 1  72.1  1.309  19
4 1 1  75.9  1.254  13

Crystal structure
Cell lengths 7.1277, 7.1277, 3.4377 Å; angles 90.00, 90.00, 120.00 degrees
Space group P-62m (No. 189)
Unique sites:
Al 0.0000 0.0000 0.0000 [1 per cell]
Sb 0.3333 0.6667 0.5000 [2 per cell]
Pd 0.0000 0.3782 0.0000 [3 per cell]
Pd 0.0000 0.7395 0.5000 [3 per cell]

This entry pairs a crystal structure of AlSbPd4 with its simulated powder X-ray diffraction pattern. Radiation: Cu Kα (λ = 1.5418 Å). Structure: the PBE geometry in Alexandria.
Kinematic intensities with the Lorentz-polarization factor, no thermal factor.

Principal peaks in the range 15° ≤ 2θ ≤ 90°, low angle first:
h k l  two_theta  d (Å)  Rel. int.
2 1 0  36.3  2.477  40
1 1 4  36.4  2.471  100
0 1 5  38.0  2.369  39
3 0 1  39.0  2.312  21
2 1 3  40.1  2.247  56
3 0 4  44.9  2.020  36
0 0 8  45.1  2.009  21
0 2 0  52.2  1.751  28
4 1 5  66.4  1.408  15
3 2 4  71.3  1.323  23

Crystal structure
Cell lengths 7.0096, 3.5024, 16.0734 Å; angles 90.00, 90.00, 90.00 degrees
Space group Pnma (No. 62)
Unique sites:
Al 0.2471 0.2500 0.0559 [4 per cell]
Sb 0.2457 0.2500 0.8133 [4 per cell]
Pd 0.0071 0.7500 0.4334 [4 per cell]
Pd 0.0604 0.7500 0.7062 [4 per cell]
Pd 0.1224 0.7500 0.1559 [4 per cell]
Pd 0.1289 0.7500 0.9491 [4 per cell]

This entry pairs a crystal structure of AlSbPd4 with its simulated powder X-ray diffraction pattern. Radiation: Cu Kα (λ = 1.5418 Å). Structure: the PBE geometry in Alexandria.
Kinematic intensities with the Lorentz-polarization factor, no thermal factor.

Principal peaks in the range 15° ≤ 2θ ≤ 90°, low angle first:
h k l  two_theta  d (Å)  Rel. int.
0 2 1  27.7  3.224  23
0 0 2  33.3  2.693  23
1 2 1  33.8  2.651  15
2 0 0  38.6  2.330  43
1 1 2  40.3  2.240  52
1 3 1  42.3  2.135  100
2 0 2  51.9  1.762  14
0 2 3  56.1  1.640  15
0 6 0  70.2  1.341  17
3 3 1  72.5  1.304  20

Crystal structure
Cell lengths 4.6608, 8.0486, 5.3863 Å; angles 90.00, 90.00, 90.00 degrees
Space group Pmna (No. 53)
Unique sites:
Al 0.0000 0.0000 0.0000 [2 per cell]
Sb 0.0000 0.5000 0.5000 [2 per cell]
Pd 0.0000 0.1591 0.4060 [4 per cell]
Pd 0.0000 0.3174 0.9193 [4 per cell]

This entry pairs a crystal structure of Sc8AlPd2 with its simulated powder X-ray diffraction pattern. Radiation: Cu Kα (λ = 1.5418 Å). Structure: the PBE geometry in Alexandria.
Kinematic intensities with the Lorentz-polarization factor, no thermal factor.

Principal peaks in the range 15° ≤ 2θ ≤ 90°, low angle first:
h k l  two_theta  d (Å)  Rel. int.
0 1 3  22.5  3.945  14
1 1 0  22.9  3.876  13
0 1 5  34.3  2.617  14
1 1 4  34.5  2.597  12
1 2 3  36.8  2.444  100
0 0 6  38.6  2.332  18
2 0 0  39.6  2.276  25
1 3 2  43.7  2.070  12
2 0 6  56.5  1.629  11
3 2 3  70.0  1.344  13

Crystal structure
Cell lengths 4.5525, 7.3931, 13.9921 Å; angles 90.00, 90.00, 90.00 degrees
Space group Immm (No. 71)
Unique sites:
Sc 0.0000 0.0000 0.1398 [4 per cell]
Sc 0.0000 0.2179 0.3350 [8 per cell]
Sc 0.0000 0.3051 0.0000 [4 per cell]
Al 0.0000 0.5000 0.5000 [2 per cell]
Pd 0.0000 0.5000 0.1893 [4 per cell]

This entry pairs a crystal structure of Sc3Al2Pd6 with its simulated powder X-ray diffraction pattern. Radiation: Cu Kα (λ = 1.5418 Å). Structure: the PBE geometry in Alexandria.
Kinematic intensities with the Lorentz-polarization factor, no thermal factor.

Principal peaks in the range 15° ≤ 2θ ≤ 90°, low angle first:
h k l  two_theta  d (Å)  Rel. int.
2 1 1  23.5  3.782  14
2 2 0  27.2  3.276  11
3 2 1  36.3  2.476  30
3 3 0  41.3  2.184  100
4 2 0  43.7  2.072  10
5 1 0  50.2  1.817  11
6 0 0  59.9  1.544  13
5 3 2  61.7  1.503  12
6 3 3  75.4  1.261  30
6 6 0  89.8  1.092  11

Crystal structure
Cell lengths 9.2648, 9.2648, 9.2648 Å; angles 90.00, 90.00, 90.00 degrees
Space group Im-3m (No. 229)
Unique sites:
Sc 0.0000 0.0000 0.2984 [12 per cell]
Al 0.2500 0.2500 0.2500 [8 per cell]
Pd 0.0000 0.3299 0.3299 [24 per cell]

This entry pairs a crystal structure of Sc6Al16Pd7 with its simulated powder X-ray diffraction pattern. Radiation: Cu Kα (λ = 1.5418 Å). Structure: the PBE geometry in Alexandria.
Kinematic intensities with the Lorentz-polarization factor, no thermal factor.

Principal peaks in the range 15° ≤ 2θ ≤ 90°, low angle first:
h k l  two_theta  d (Å)  Rel. int.
2 2 2  24.7  3.601  56
4 0 0  28.6  3.118  39
4 2 2  35.2  2.546  16
3 3 3  37.5  2.400  22
4 4 0  40.9  2.205  100
6 2 2  48.4  1.880  51
6 6 2  65.2  1.431  18
8 4 0  67.1  1.395  13
8 4 4  74.5  1.273  20
6 6 6  79.9  1.200  19

Crystal structure
Cell lengths 12.4733, 12.4733, 12.4733 Å; angles 90.00, 90.00, 90.00 degrees
Space group Fm-3m (No. 225)
Unique sites:
Sc 0.0000 0.0000 0.1913 [24 per cell]
Al 0.1203 0.1203 0.3797 [32 per cell]
Al 0.1655 0.1655 0.1655 [32 per cell]
Pd 0.0000 0.0000 0.5000 [4 per cell]
Pd 0.0000 0.2500 0.2500 [24 per cell]

This entry pairs a crystal structure of Sc2Al2Pd3 with its simulated powder X-ray diffraction pattern. Radiation: Cu Kα (λ = 1.5418 Å). Structure: the PBE geometry in Alexandria.
Kinematic intensities with the Lorentz-polarization factor, no thermal factor.

Principal peaks in the range 15° ≤ 2θ ≤ 90°, low angle first:
h k l  two_theta  d (Å)  Rel. int.
1 0 1  22.7  3.913  12
1 0 0  24.0  3.713  16
1 0 2  28.4  3.139  37
0 1 -2  31.4  2.849  22
2 1 1  39.1  2.302  100
1 -1 0  41.4  2.180  10
1 0 -2  42.1  2.146  75
0 2 2  58.8  1.570  18
3 0 2  70.9  1.329  11
3 1 -1  72.9  1.297  23

Crystal structure
Cell lengths 4.5998, 4.6046, 7.2871 Å; angles 90.00, 71.65, 60.06 degrees
Space group P-1 (No. 2)
Unique sites:
Sc 0.2253 0.3874 0.1634 [2 per cell]
Al 0.2556 0.8726 0.6145 [2 per cell]
Pd 0.0000 0.0000 0.0000 [1 per cell]
Pd 0.4998 0.2501 0.7484 [2 per cell]

This entry pairs a crystal structure of Sc3Al7Pd2 with its simulated powder X-ray diffraction pattern. Radiation: Cu Kα (λ = 1.5418 Å). Structure: the PBE geometry in Alexandria.
Kinematic intensities with the Lorentz-polarization factor, no thermal factor.

Principal peaks in the range 15° ≤ 2θ ≤ 90°, low angle first:
h k l  two_theta  d (Å)  Rel. int.
1 0 1  19.5  4.561  14
0 1 2  20.4  4.356  13
0 0 6  21.0  4.239  19
1 1 0  33.5  2.677  53
1 1 3  35.2  2.552  20
1 1 6  39.8  2.263  100
0 0 12  42.7  2.119  16
1 1 9  46.7  1.943  17
3 0 6  64.1  1.452  23
2 2 0  70.3  1.338  16

Crystal structure
Cell lengths 5.3532, 5.3532, 25.4312 Å; angles 90.00, 90.00, 120.00 degrees
Space group R-3m (No. 166, hexagonal axes)
Unique sites:
Sc 0.0000 0.0000 0.0000 [3 per cell]
Sc 0.0000 0.0000 0.1450 [6 per cell]
Al 0.0000 0.0000 0.5000 [3 per cell]
Al 0.0065 0.5032 0.9185 [18 per cell]
Pd 0.0000 0.0000 0.3351 [6 per cell]

This entry pairs a crystal structure of ScAl2ZnPd2 with its simulated powder X-ray diffraction pattern. Radiation: Cu Kα (λ = 1.5418 Å). Structure: the PBE geometry in Alexandria.
Kinematic intensities with the Lorentz-polarization factor, no thermal factor.

Principal peaks in the range 15° ≤ 2θ ≤ 90°, low angle first:
h k l  two_theta  d (Å)  Rel. int.
1 0 1  28.0  3.186  76
1 0 2  38.9  2.313  96
1 1 0  41.1  2.197  100
0 2 1  50.5  1.808  15
1 1 2  52.1  1.754  15
0 1 3  52.9  1.730  16
0 2 2  57.9  1.593  29
2 1 2  73.4  1.289  27
3 0 0  74.9  1.268  16
1 1 4  78.8  1.214  24

Crystal structure
Cell lengths 4.3933, 4.3933, 5.8262 Å; angles 90.00, 90.00, 120.00 degrees
Space group P-3m1 (No. 164)
Unique sites:
Sc 0.0000 0.0000 0.0000 [1 per cell]
Al 0.3333 0.6667 0.7192 [2 per cell]
Zn 0.0000 0.0000 0.5000 [1 per cell]
Pd 0.3333 0.6667 0.2617 [2 per cell]

> Number 6 is which compound?

AlSbPd4